# NpCoAg2O6
Computed X-ray diffraction stick pattern, a wavelength of 1.5418 Å. Input: a crystal structure in Alexandria, relaxed with PBE+U.

Crystal structure
Cell lengths 6.196, 6.196, 4.998 Å; angles 112.51, 112.51, 53.45 degrees
Element x y z (fractional)
Np 0.000 0.000 0.000
Co 0.500 0.500 0.500
Ag 0.266 0.266 0.813
Ag 0.734 0.734 0.187
O 0.172 0.172 0.315
O 0.200 0.661 0.206
O 0.339 0.800 0.794
O 0.661 0.200 0.206
O 0.800 0.339 0.794
O 0.828 0.828 0.685

Peak list (10 most intense, 5 to 70 degrees two-theta, in order of rising 2θ)
2θ 18.22, d = 4.868 Å, I = 27
2θ 19.66, d = 4.515 Å, I = 33
2θ 29.66, d = 3.012 Å, I = 74
2θ 30.21, d = 2.958 Å, I = 100
2θ 32.12, d = 2.787 Å, I = 35
2θ 35.93, d = 2.499 Å, I = 43
2θ 48.96, d = 1.861 Å, I = 49
2θ 55.74, d = 1.649 Å, I = 17
2θ 60.45, d = 1.531 Å, I = 17
2θ 61.40, d = 1.510 Å, I = 23